Entry 1:
# Hf3H2Ir
Calculated X-ray diffraction stick pattern, copper Kα. Input: DFT lattice parameters and positions (PBE).

The 10 most intense peaks (2θ from 10° to 80°), by angle:
Position (°2θ), d_spacing, I (rel.)
31.16, 2.870, 100
33.18, 2.700, 33
35.41, 2.535, 68
36.40, 2.468, 39
37.00, 2.430, 40
37.44, 2.402, 76
43.19, 2.095, 32
44.23, 2.048, 41
45.05, 2.013, 48
58.69, 1.573, 39

Structural model:
```
Hf3H2Ir
1.0
10.0129 -1.6000 0.0000
10.0129 1.6000 0.0000
-1.4327 0.0000 5.5708
Hf H Ir
6 4 2
direct
0.0422 0.0422 0.2909 Hf
0.2310 0.2310 0.2332 Hf
0.3932 0.3932 0.1661 Hf
0.6068 0.6068 0.8339 Hf
0.7690 0.7690 0.7668 Hf
0.9578 0.9578 0.7091 Hf
0.0545 0.0545 0.9375 H
0.2899 0.2899 0.9939 H
0.7101 0.7101 0.0061 H
0.9455 0.9455 0.0625 H
0.3498 0.3498 0.5768 Ir
0.6502 0.6502 0.4232 Ir
```

***

Entry 2:
# Hf3HIr
Calculated X-ray diffraction stick pattern, copper Kα. Input: DFT lattice parameters and positions (PBE).

The 10 most intense peaks (2θ from 10° to 80°), by angle:
Position (°2θ), d_spacing, I (rel.)
21.89, 4.060, 9
28.51, 3.131, 7
37.31, 2.410, 100
38.90, 2.315, 49
51.32, 1.780, 8
56.18, 1.637, 17
66.22, 1.411, 14
69.33, 1.355, 17
69.46, 1.353, 16
79.54, 1.205, 8

Structural model:
```
Hf3HIr
1.0
5.3408 -6.9545 0.0000
5.3408 6.9545 0.0000
0.0000 0.0000 4.6255
Hf H Ir
12 4 4
direct
0.0146 0.6819 0.5114 Hf
0.1423 0.1423 0.0000 Hf
0.1819 0.5146 0.0114 Hf
0.3181 0.9854 0.5114 Hf
0.3577 0.3577 0.5000 Hf
0.4854 0.8181 0.0114 Hf
0.5146 0.1819 0.9886 Hf
0.6423 0.6423 0.5000 Hf
0.6819 0.0146 0.4886 Hf
0.8181 0.4854 0.9886 Hf
0.8577 0.8577 0.0000 Hf
0.9854 0.3181 0.4886 Hf
0.1709 0.3291 0.7500 H
0.3291 0.1709 0.2500 H
0.6709 0.8291 0.7500 H
0.8291 0.6709 0.2500 H
0.1677 0.8323 0.0013 Ir
0.3323 0.6677 0.5013 Ir
0.6677 0.3323 0.4987 Ir
0.8323 0.1677 0.9987 Ir
```

***

Entry 3:
# KHf2H8
Calculated X-ray diffraction stick pattern, copper Kα. Input: DFT lattice parameters and positions (PBE).

The 10 most intense peaks (2θ from 10° to 80°), by angle:
Position (°2θ), d_spacing, I (rel.)
17.31, 5.122, 39
18.69, 4.748, 38
23.10, 3.850, 75
28.09, 3.177, 36
29.36, 3.042, 66
29.89, 2.989, 83
31.87, 2.808, 100
39.06, 2.306, 54
40.42, 2.232, 33
53.68, 1.707, 24

Structural model:
```
KHf2H8
1.0
3.0505 -4.7475 0.0000
3.0505 4.7475 0.0000
-0.2930 0.0000 3.8499
K Hf H
1 2 8
direct
0.0000 0.0000 0.0000 K
0.3229 0.6771 0.5000 Hf
0.6771 0.3229 0.5000 Hf
0.0298 0.3253 0.5108 H
0.2704 0.7296 0.0000 H
0.3253 0.0298 0.5108 H
0.4438 0.4438 0.2432 H
0.5562 0.5562 0.7568 H
0.6747 0.9702 0.4892 H
0.7296 0.2704 0.0000 H
0.9702 0.6747 0.4892 H
```

***

Entry 4:
# LaHfHOs2
Calculated X-ray diffraction stick pattern, copper Kα. Input: DFT lattice parameters and positions (PBE).

The 10 most intense peaks (2θ from 10° to 80°), by angle:
Position (°2θ), d_spacing, I (rel.)
19.29, 4.602, 1
23.03, 3.863, 1
27.41, 3.254, 1
36.09, 2.489, 100
39.15, 2.301, 40
47.05, 1.931, 12
56.56, 1.627, 14
62.82, 1.479, 20
68.95, 1.362, 31
76.56, 1.244, 12

Structural model:
```
LaHfHOs2
1.0
4.6022 0.0000 0.0000
0.0000 4.6022 0.0000
0.0000 0.0000 3.8625
La Hf H Os
1 1 1 2
direct
0.0000 0.0000 0.0000 La
0.5000 0.5000 0.0000 Hf
0.5000 0.5000 0.5000 H
0.0000 0.5000 0.5000 Os
0.5000 0.0000 0.5000 Os
```

***

Entry 5:
# LiHf3H8
Calculated X-ray diffraction stick pattern, copper Kα. Input: DFT lattice parameters and positions (PBE).

The 10 most intense peaks (2θ from 10° to 80°), by angle:
Position (°2θ), d_spacing, I (rel.)
19.05, 4.659, 30
27.07, 3.294, 26
33.31, 2.690, 100
38.65, 2.329, 48
43.43, 2.083, 15
47.82, 1.902, 11
55.82, 1.647, 36
59.53, 1.553, 7
66.57, 1.405, 41
69.95, 1.345, 12

Structural model:
```
LiHf3H8
1.0
4.6587 0.0000 0.0000
0.0000 4.6587 0.0000
0.0000 0.0000 4.6587
Li Hf H
1 3 8
direct
0.0000 0.0000 0.0000 Li
0.0000 0.5000 0.5000 Hf
0.5000 0.0000 0.5000 Hf
0.5000 0.5000 0.0000 Hf
0.2478 0.2478 0.2478 H
0.2478 0.2478 0.7522 H
0.2478 0.7522 0.2478 H
0.2478 0.7522 0.7522 H
0.7522 0.2478 0.2478 H
0.7522 0.2478 0.7522 H
0.7522 0.7522 0.2478 H
0.7522 0.7522 0.7522 H
```

***

Entry 6:
# HfMg2H
Calculated X-ray diffraction stick pattern, copper Kα. Input: DFT lattice parameters and positions (PBE).

The 10 most intense peaks (2θ from 10° to 80°), by angle:
Position (°2θ), d_spacing, I (rel.)
18.61, 4.767, 65
30.63, 2.919, 100
36.08, 2.489, 92
48.03, 1.894, 18
54.44, 1.685, 40
58.05, 1.589, 31
63.77, 1.460, 20
67.06, 1.396, 14
72.39, 1.305, 17
75.51, 1.259, 11

Structural model:
```
HfMg2H
1.0
0.0000 4.1283 4.1283
4.1283 0.0000 4.1283
4.1283 4.1283 0.0000
Hf Mg H
2 4 2
direct
0.1250 0.1250 0.1250 Hf
0.8750 0.8750 0.8750 Hf
0.0000 0.5000 0.5000 Mg
0.5000 0.0000 0.5000 Mg
0.5000 0.5000 0.0000 Mg
0.5000 0.5000 0.5000 Mg
0.3750 0.3750 0.3750 H
0.6250 0.6250 0.6250 H
```

***

Entry 7:
# HfMg2H8
Calculated X-ray diffraction stick pattern, copper Kα. Input: DFT lattice parameters and positions (PBE).

The 10 most intense peaks (2θ from 10° to 80°), by angle:
Position (°2θ), d_spacing, I (rel.)
18.09, 4.903, 54
19.59, 4.531, 100
29.79, 2.999, 35
32.52, 2.753, 62
33.42, 2.681, 58
35.13, 2.555, 25
38.26, 2.352, 34
39.76, 2.267, 50
54.07, 1.696, 32
67.08, 1.395, 22

Structural model:
```
HfMg2H8
1.0
-1.5748 2.5547 4.9031
1.5748 -2.5547 4.9031
1.5748 2.5547 -4.9031
Hf Mg H
1 2 8
direct
0.0000 0.0000 0.0000 Hf
0.3261 0.3261 0.0000 Mg
0.6739 0.6739 0.0000 Mg
0.1036 0.8423 0.2613 H
0.1363 0.6363 0.5000 H
0.2758 0.5000 0.7758 H
0.4189 0.1577 0.2613 H
0.5811 0.8423 0.7387 H
0.7242 0.5000 0.2242 H
0.8637 0.3637 0.5000 H
0.8964 0.1577 0.7387 H
```

***

Entry 8:
# HfMnH
Calculated X-ray diffraction stick pattern, copper Kα. Input: DFT lattice parameters and positions (PBE).

The 10 most intense peaks (2θ from 10° to 80°), by angle:
Position (°2θ), d_spacing, I (rel.)
31.08, 2.878, 100
37.45, 2.401, 35
38.02, 2.367, 56
42.16, 2.143, 19
43.08, 2.100, 18
47.73, 1.905, 14
48.57, 1.875, 13
58.83, 1.570, 19
59.14, 1.562, 17
71.86, 1.314, 20

Structural model:
```
HfMnH
1.0
7.2035 0.0000 0.0000
0.0000 2.2451 2.1953
0.0000 -2.2451 2.1953
Hf Mn H
2 2 2
direct
0.1686 0.2500 0.7500 Hf
0.8314 0.7500 0.2500 Hf
0.5000 0.2492 0.2492 Mn
0.5000 0.7492 0.7492 Mn
0.1163 0.7505 0.2505 H
0.8837 0.2505 0.7505 H
```

***

Entry 9:
# Hf2Mo2H7
Calculated X-ray diffraction stick pattern, copper Kα. Input: DFT lattice parameters and positions (PBE).

The 10 most intense peaks (2θ from 10° to 80°), by angle:
Position (°2θ), d_spacing, I (rel.)
33.18, 2.700, 57
34.14, 2.626, 54
35.01, 2.563, 100
38.55, 2.335, 74
42.40, 2.132, 29
58.01, 1.590, 23
59.25, 1.559, 22
65.23, 1.430, 16
66.40, 1.408, 15
72.80, 1.299, 17

Structural model:
```
Hf2Mo2H7
1.0
3.4094 -3.2065 0.0000
3.4094 3.2065 0.0000
-0.1209 0.0000 4.2636
Hf Mo H
2 2 7
direct
0.2393 0.7607 0.0000 Hf
0.7607 0.2393 0.0000 Hf
0.2606 0.2606 0.4841 Mo
0.7393 0.7393 0.5159 Mo
0.0000 0.0000 0.5000 H
0.0007 0.5082 0.2597 H
0.4918 0.9993 0.7403 H
0.4996 0.4996 0.2661 H
0.5004 0.5004 0.7339 H
0.5082 0.0007 0.2597 H
0.9993 0.4918 0.7403 H
```

***

Entry 10:
# Hf4MoH10
Calculated X-ray diffraction stick pattern, copper Kα. Input: DFT lattice parameters and positions (PBE).

The 10 most intense peaks (2θ from 10° to 80°), by angle:
Position (°2θ), d_spacing, I (rel.)
22.76, 3.907, 2
24.12, 3.690, 2
33.40, 2.682, 100
38.58, 2.333, 33
39.12, 2.303, 16
55.71, 1.650, 12
56.11, 1.639, 23
66.53, 1.405, 27
67.27, 1.392, 13
70.17, 1.341, 11

Structural model:
```
Hf4MoH10
1.0
-3.6896 3.6896 2.3026
3.6896 -3.6896 2.3026
3.6896 3.6896 -2.3026
Hf Mo H
4 1 10
direct
0.1051 0.7032 0.8082 Hf
0.2968 0.1051 0.4019 Hf
0.7032 0.8949 0.5981 Hf
0.8949 0.2968 0.1918 Hf
0.5000 0.5000 0.0000 Mo
0.0633 0.3508 0.9003 H
0.1630 0.0633 0.7125 H
0.2500 0.7500 0.5000 H
0.3508 0.4505 0.2875 H
0.4505 0.1630 0.0997 H
0.5495 0.8370 0.9003 H
0.6492 0.5495 0.7125 H
0.7500 0.2500 0.5000 H
0.8370 0.9367 0.2875 H
0.9367 0.6492 0.0997 H
```

***

Entry 11:
# HfMoH4
Calculated X-ray diffraction stick pattern, copper Kα. Input: DFT lattice parameters and positions (PBE).

The 10 most intense peaks (2θ from 10° to 80°), by angle:
Position (°2θ), d_spacing, I (rel.)
21.95, 4.050, 11
34.11, 2.628, 100
35.02, 2.562, 4
38.48, 2.339, 17
40.14, 2.246, 31
56.82, 1.620, 23
58.07, 1.588, 11
66.83, 1.400, 14
69.10, 1.359, 26
71.84, 1.314, 11

Structural model:
```
HfMoH4
1.0
0.0000 3.1791 4.6787
3.1743 0.0000 4.6787
3.1743 3.1791 0.0000
Hf Mo H
2 2 8
direct
0.1250 0.1250 0.1250 Hf
0.8750 0.8750 0.8750 Hf
0.3750 0.3750 0.3750 Mo
0.6250 0.6250 0.6250 Mo
0.0000 0.5003 0.2686 H
0.0000 0.4997 0.7314 H
0.2686 0.7312 0.0000 H
0.2688 0.7314 0.4997 H
0.4997 0.0000 0.2688 H
0.5003 0.0000 0.7312 H
0.7314 0.2688 0.0000 H
0.7312 0.2686 0.5003 H
```

***

Entry 12:
# HfTeMo2H
Calculated X-ray diffraction stick pattern, copper Kα. Input: DFT lattice parameters and positions (PBE).

The 10 most intense peaks (2θ from 10° to 80°), by angle:
Position (°2θ), d_spacing, I (rel.)
17.85, 4.969, 6
31.90, 2.805, 3
36.15, 2.485, 27
36.79, 2.443, 100
45.74, 1.984, 27
59.64, 1.550, 24
65.44, 1.426, 18
66.68, 1.403, 9
78.27, 1.221, 11
78.66, 1.216, 22

Structural model:
```
HfTeMo2H
1.0
3.9673 0.0000 0.0000
0.0000 3.9673 0.0000
0.0000 0.0000 4.9691
Hf Te Mo H
1 1 2 1
direct
0.0000 0.0000 0.0000 Hf
0.5000 0.5000 0.0000 Te
0.0000 0.5000 0.5000 Mo
0.5000 0.0000 0.5000 Mo
0.5000 0.5000 0.5000 H
```